Starting from a structure optimized by DFT (GGA-PBE), the PXRD pattern of LaTbMg2Sn2 was computed for CuKα.
No peak broadening, texture or thermal motion is included.

Structural model:
```
data_LaTbMg2Sn2
_chemical_formula_sum 'La1 Tb1 Mg2 Sn2'
_cell_length_a 8.7077
_cell_length_b 8.7077
_cell_length_c 8.7077
_cell_angle_alpha 150.11
_cell_angle_beta 150.11
_cell_angle_gamma 42.78
_space_group_name_H-M_alt 'P 1'
_space_group_IT_number 1
_space_group_name_Hall 'P 1'
loop_
_atom_site_label
_atom_site_fract_x
_atom_site_fract_y
_atom_site_fract_z
_atom_site_occupancy
La1 0.0000 0.0000 0.0000 1
Tb1 0.6690 0.6690 0.0000 1
Mg1 0.3319 0.8319 0.5000 1
Mg2 0.8319 0.3319 0.5000 1
Sn1 0.1998 0.1998 0.0000 1
Sn2 0.4660 0.4660 0.0000 1
```

The 12 most intense peaks (10 to 90 degrees two-theta), low angle first:
Position (°2θ), d/Å, intensity
10.91, 8.108, 24
21.93, 4.054, 45
28.09, 3.176, 100
30.22, 2.957, 34
33.15, 2.703, 24
34.10, 2.629, 35
35.92, 2.500, 89
40.15, 2.246, 57
43.99, 2.058, 26
46.21, 1.965, 26
53.02, 1.727, 26
70.19, 1.341, 43